[1]
For Tl3ICl2, a PBE-relaxed structure gives the simulated powder diffractogram in this record (Cu Kα (weighted mean of Kα1 and Kα2)).

Largest 8 diffraction maxima, in order of rising 2θ, 10 to 80 degrees two-theta:
- 2θ = 22.92°, I 70
- 2θ = 26.19°, I 64
- 2θ = 26.70°, I 100
- 2θ = 37.74°, I 80
- 2θ = 38.22°, I 20
- 2θ = 46.74°, I 20
- 2θ = 46.92°, I 23
- 2θ = 61.12°, I 20

Structure:
```
Tl3ICl2
1.0
7.483 -3.404 0.000
7.483 3.404 0.000
-2.964 0.000 8.942
Tl I Cl
6 2 4
direct
0.002 0.998 0.750
0.316 0.316 0.408
0.316 0.316 0.908
0.684 0.684 0.092
0.684 0.684 0.592
0.998 0.002 0.250
0.498 0.502 0.250
0.502 0.498 0.750
0.160 0.167 0.582
0.167 0.160 0.082
0.833 0.840 0.918
0.840 0.833 0.418
```

=====

[2]
For Tl3I3Cl, a PBE-relaxed structure gives the simulated powder diffractogram in this record (Cu Kα (weighted mean of Kα1 and Kα2)).

Largest 8 diffraction maxima, in order of rising 2θ, 10 to 80 degrees two-theta:
- 2θ = 22.98°, I 100
- 2θ = 28.66°, I 33
- 2θ = 29.58°, I 25
- 2θ = 29.83°, I 16
- 2θ = 30.24°, I 21
- 2θ = 35.07°, I 13
- 2θ = 40.19°, I 23
- 2θ = 41.52°, I 17

Structure:
```
Tl3I3Cl
1.0
4.738 -7.677 0.000
4.738 7.677 0.000
-1.224 0.000 8.540
Tl I Cl
6 6 2
direct
0.092 0.456 0.760
0.108 0.108 0.273
0.456 0.092 0.760
0.544 0.908 0.240
0.892 0.892 0.727
0.908 0.544 0.240
0.159 0.841 0.000
0.262 0.738 0.500
0.400 0.400 0.107
0.600 0.600 0.893
0.738 0.262 0.500
0.841 0.159 0.000
0.170 0.170 0.638
0.830 0.830 0.362
```

=====

[3]
For UI2Cl, a PBE-relaxed structure gives the simulated powder diffractogram in this record (Cu Kα (weighted mean of Kα1 and Kα2)).

Largest 8 diffraction maxima, in order of rising 2θ, 10 to 80 degrees two-theta:
- 2θ = 11.69°, I 100
- 2θ = 21.59°, I 19
- 2θ = 28.00°, I 19
- 2θ = 29.48°, I 47
- 2θ = 29.79°, I 54
- 2θ = 35.58°, I 52
- 2θ = 38.04°, I 33
- 2θ = 54.11°, I 21

Structure:
```
UI2Cl
1.0
2.054 -7.569 0.000
2.054 7.569 0.000
0.000 0.000 9.812
U I Cl
2 4 2
direct
0.242 0.758 0.750
0.758 0.242 0.250
0.146 0.854 0.062
0.146 0.854 0.438
0.854 0.146 0.562
0.854 0.146 0.938
0.378 0.622 0.250
0.622 0.378 0.750
```

=====

[4]
For UI4Cl, a PBE-relaxed structure gives the simulated powder diffractogram in this record (Cu Kα (weighted mean of Kα1 and Kα2)).

Largest 8 diffraction maxima, in order of rising 2θ, 10 to 80 degrees two-theta:
- 2θ = 11.61°, I 49
- 2θ = 18.46°, I 100
- 2θ = 24.82°, I 27
- 2θ = 26.15°, I 56
- 2θ = 33.37°, I 21
- 2θ = 37.32°, I 23
- 2θ = 38.30°, I 44
- 2θ = 42.87°, I 33

Structure:
```
UI4Cl
1.0
-5.388 5.388 2.685
5.388 -5.388 2.685
5.388 5.388 -2.685
U I Cl
1 4 1
direct
0.000 0.000 0.000
0.069 0.742 0.810
0.258 0.069 0.327
0.742 0.931 0.673
0.931 0.258 0.190
0.500 0.500 0.000
```

=====

[5]
For VICl, a PBE-relaxed structure gives the simulated powder diffractogram in this record (Cu Kα (weighted mean of Kα1 and Kα2)).

Largest 8 diffraction maxima, in order of rising 2θ, 10 to 80 degrees two-theta:
- 2θ = 12.45°, I 72
- 2θ = 18.27°, I 62
- 2θ = 27.35°, I 63
- 2θ = 29.67°, I 63
- 2θ = 32.75°, I 100
- 2θ = 40.44°, I 26
- 2θ = 41.66°, I 38
- 2θ = 47.71°, I 45

Structure:
```
VICl
1.0
7.109 -1.939 0.000
7.109 1.939 0.000
-0.006 0.000 6.646
V I Cl
2 2 2
direct
0.000 0.000 0.000
0.500 0.500 0.500
0.122 0.122 0.663
0.878 0.878 0.337
0.417 0.417 0.831
0.583 0.583 0.169
```

=====

[6]
For Zn2ICl, a PBE-relaxed structure gives the simulated powder diffractogram in this record (Cu Kα (weighted mean of Kα1 and Kα2)).

Largest 8 diffraction maxima, in order of rising 2θ, 10 to 80 degrees two-theta:
- 2θ = 18.27°, I 73
- 2θ = 18.71°, I 72
- 2θ = 24.68°, I 56
- 2θ = 25.10°, I 46
- 2θ = 25.82°, I 100
- 2θ = 29.94°, I 41
- 2θ = 35.80°, I 49
- 2θ = 47.26°, I 61

Structure:
```
Zn2ICl
1.0
5.925 0.000 0.000
2.556 6.076 0.000
2.151 1.657 7.216
Zn I Cl
4 2 2
direct
0.041 0.196 0.191
0.226 0.023 0.690
0.774 0.977 0.310
0.959 0.804 0.809
0.303 0.313 0.843
0.697 0.687 0.157
0.306 0.231 0.366
0.694 0.769 0.634
```

=====

[7]
For Zn3I2Cl4, a PBE-relaxed structure gives the simulated powder diffractogram in this record (Cu Kα (weighted mean of Kα1 and Kα2)).

Largest 8 diffraction maxima, in order of rising 2θ, 10 to 80 degrees two-theta:
- 2θ = 13.51°, I 100
- 2θ = 22.66°, I 37
- 2θ = 23.49°, I 44
- 2θ = 25.09°, I 38
- 2θ = 25.58°, I 54
- 2θ = 27.50°, I 61
- 2θ = 27.89°, I 53
- 2θ = 46.19°, I 52

Structure:
```
Zn3I2Cl4
1.0
3.932 0.000 0.000
-0.001 3.932 0.000
-1.672 -1.480 19.666
Zn I Cl
3 2 4
direct
0.000 0.000 0.000
0.143 0.713 0.313
0.783 0.394 0.650
0.246 0.361 0.562
0.821 0.927 0.737
0.115 0.189 0.249
0.527 0.024 0.064
0.670 0.737 0.377
0.973 0.476 0.936
```

=====

[8]
For In7Cl, a PBE-relaxed structure gives the simulated powder diffractogram in this record (Cu Kα (weighted mean of Kα1 and Kα2)).

Largest 8 diffraction maxima, in order of rising 2θ, 10 to 80 degrees two-theta:
- 2θ = 15.99°, I 5
- 2θ = 30.89°, I 3
- 2θ = 32.30°, I 100
- 2θ = 37.47°, I 50
- 2θ = 54.03°, I 33
- 2θ = 64.36°, I 39
- 2θ = 67.60°, I 11
- 2θ = 79.93°, I 5

Structure:
```
In7Cl
1.0
0.000 4.801 4.801
4.801 0.000 4.801
4.801 4.801 0.000
In Cl
7 1
direct
0.000 0.000 0.000
0.000 0.000 0.500
0.000 0.500 0.000
0.000 0.500 0.500
0.500 0.000 0.000
0.500 0.000 0.500
0.500 0.500 0.000
0.500 0.500 0.500
```

=====

[9]
For InCl7, a PBE-relaxed structure gives the simulated powder diffractogram in this record (Cu Kα (weighted mean of Kα1 and Kα2)).

Largest 8 diffraction maxima, in order of rising 2θ, 10 to 80 degrees two-theta:
- 2θ = 17.27°, I 26
- 2θ = 19.97°, I 14
- 2θ = 28.39°, I 12
- 2θ = 33.42°, I 17
- 2θ = 34.95°, I 100
- 2θ = 40.58°, I 47
- 2θ = 58.74°, I 29
- 2θ = 70.21°, I 33

Structure:
```
InCl7
1.0
0.000 4.446 4.446
4.446 0.000 4.446
4.446 4.446 0.000
In Cl
1 7
direct
0.000 0.000 0.000
0.000 0.000 0.500
0.000 0.500 0.000
0.000 0.500 0.500
0.500 0.000 0.000
0.500 0.000 0.500
0.500 0.500 0.000
0.500 0.500 0.500
```

=====

[10]
For In5Cl3, a PBE-relaxed structure gives the simulated powder diffractogram in this record (Cu Kα (weighted mean of Kα1 and Kα2)).

Largest 8 diffraction maxima, in order of rising 2θ, 10 to 80 degrees two-theta:
- 2θ = 18.80°, I 100
- 2θ = 28.31°, I 56
- 2θ = 30.81°, I 40
- 2θ = 30.90°, I 67
- 2θ = 31.82°, I 41
- 2θ = 33.54°, I 43
- 2θ = 33.85°, I 44
- 2θ = 37.80°, I 40

Structure:
```
In5Cl3
1.0
7.146 0.000 0.000
-2.097 7.273 0.000
-2.912 -1.838 9.442
In Cl
10 6
direct
0.000 0.000 0.000
0.022 0.696 0.722
0.119 0.366 0.519
0.208 0.619 0.123
0.264 0.979 0.548
0.489 0.856 0.952
0.519 0.702 0.632
0.595 0.447 0.053
0.637 0.327 0.577
0.853 0.017 0.583
0.013 0.308 0.216
0.039 0.813 0.276
0.160 0.274 0.840
0.443 0.112 0.151
0.542 0.661 0.358
0.651 0.212 0.844
```

=====

[11]
For In2IrCl, a PBE-relaxed structure gives the simulated powder diffractogram in this record (Cu Kα (weighted mean of Kα1 and Kα2)).

Largest 8 diffraction maxima, in order of rising 2θ, 10 to 80 degrees two-theta:
- 2θ = 11.25°, I 100
- 2θ = 35.07°, I 55
- 2θ = 36.42°, I 35
- 2θ = 39.01°, I 35
- 2θ = 40.73°, I 33
- 2θ = 43.75°, I 18
- 2θ = 44.88°, I 24
- 2θ = 72.77°, I 15

Structure:
```
In2IrCl
1.0
3.169 0.000 0.000
0.000 3.371 0.000
-0.010 0.000 7.862
In Ir Cl
2 1 1
direct
0.001 0.000 0.207
0.999 0.000 0.793
0.500 0.500 0.000
0.000 0.500 0.500
```